For Na2Al2Si3O12, DFT lattice parameters and positions (GGA-PBE) gives the theoretical X-ray powder pattern in this record (Cu Kα, 1.54184 Å).
Kinematic intensities with the Lorentz-polarization factor, no thermal factor.

Largest 6 diffraction maxima, most intense first, 10 to 80 degrees two-theta:
- 20.19 deg, intensity 100
- 14.78 deg, intensity 85
- 31.39 deg, intensity 79
- 28.10 deg, intensity 55
- 13.67 deg, intensity 51
- 19.40 deg, intensity 40

Structure:
```
Na2Al2Si3O12
1.0
0.000 9.182 3.381
9.137 0.000 3.381
9.137 9.182 0.000
Na Al Si O
4 4 6 24
Cartesian
5.075 0.572 1.691 Na
9.643 4.019 3.381 Na
4.063 8.610 1.691 Na
8.631 14.346 3.381 Na
14.329 6.370 3.309 Al
9.760 7.403 4.999 Al
8.514 10.961 4.999 Al
3.946 11.994 3.309 Al
16.480 8.521 3.256 Si
6.363 3.930 1.566 Si
9.137 9.182 2.335 Si
2.774 5.252 1.566 Si
13.706 13.773 4.025 Si
1.795 9.843 3.256 Si
7.932 3.446 1.684 O
6.357 5.280 0.656 O
9.758 6.131 2.049 O
14.911 8.037 3.375 O
10.433 9.522 1.412 O
2.780 3.902 0.656 O
7.842 8.842 1.412 O
12.842 6.401 4.256 O
5.864 4.251 3.102 O
9.471 7.907 3.321 O
13.085 10.722 3.739 O
1.205 5.736 1.684 O
8.517 12.234 2.049 O
12.410 14.113 3.102 O
8.804 10.457 3.321 O
5.189 7.643 3.739 O
13.373 12.498 5.011 O
10.926 8.493 5.727 O
14.039 15.048 5.011 O
17.411 16.555 5.947 O
3.363 10.327 3.375 O
10.001 10.992 5.947 O
7.349 9.871 5.727 O
5.433 11.964 4.256 O
```

---

For Na2Al2Si3O12, DFT lattice parameters and positions (GGA-PBE) gives the theoretical X-ray powder pattern in this record (Cu Kα, 1.54184 Å).
Kinematic intensities with the Lorentz-polarization factor, no thermal factor.

Largest 6 diffraction maxima, most intense first, 10 to 80 degrees two-theta:
- 14.86 deg, intensity 100
- 31.01 deg, intensity 62
- 13.49 deg, intensity 59
- 31.20 deg, intensity 55
- 20.19 deg, intensity 50
- 20.05 deg, intensity 41

Structure:
```
Na2Al2Si3O12
1.0
6.693 0.000 0.000
3.337 9.213 0.000
3.317 0.007 9.355
Na Al Si O
4 4 6 24
Cartesian
0.000 0.000 0.000 Na
4.949 5.746 4.692 Na
3.324 1.120 1.202 Na
8.330 4.610 5.841 Na
4.999 9.105 3.506 Al
3.330 4.490 2.356 Al
6.656 5.858 8.182 Al
8.358 1.261 7.038 Al
3.297 2.357 4.550 Si
6.626 7.998 5.983 Si
4.960 6.964 1.313 Si
5.773 0.570 5.279 Si
8.293 3.396 9.231 Si
7.443 5.185 0.603 Si
5.943 8.982 7.093 O
3.385 3.910 4.024 O
2.597 1.394 3.433 O
4.271 5.984 2.422 O
5.766 7.963 4.600 O
5.027 8.514 1.840 O
5.063 1.561 8.815 O
7.405 6.994 9.295 O
6.689 6.454 6.520 O
4.089 3.359 1.243 O
4.839 1.846 4.846 O
8.171 8.505 5.684 O
7.611 4.371 8.111 O
6.710 4.190 4.103 O
6.505 6.470 1.005 O
6.687 0.980 6.560 O
8.390 8.775 1.733 O
8.406 1.848 8.705 O
6.508 3.901 0.194 O
6.697 0.158 4.011 O
10.044 6.197 6.460 O
8.355 4.778 1.889 O
9.124 2.394 5.929 O
11.689 5.584 8.689 O
```

---

For NaAlSi2O6, DFT lattice parameters and positions (GGA-PBE) gives the theoretical X-ray powder pattern in this record (Cu Kα, 1.54184 Å).
Kinematic intensities with the Lorentz-polarization factor, no thermal factor.

Largest 6 diffraction maxima, most intense first, 10 to 80 degrees two-theta:
- 30.21 deg, intensity 100
- 31.19 deg, intensity 71
- 35.65 deg, intensity 56
- 36.78 deg, intensity 33
- 57.89 deg, intensity 21
- 43.19 deg, intensity 20

Structure:
```
NaAlSi2O6
1.0
4.782 -4.333 0.000
4.782 4.333 0.000
-1.616 0.000 5.040
Na Al Si O
2 2 4 12
Cartesian
3.570 2.600 3.780 Na
4.378 -2.600 1.260 Na
4.378 0.824 1.260 Al
3.570 -0.824 3.780 Al
0.758 0.808 3.903 Si
1.566 -0.808 1.383 Si
6.381 0.808 3.656 Si
7.189 -0.808 1.137 Si
2.987 2.058 1.467 O
-0.196 0.050 5.012 O
0.612 -0.050 2.492 O
2.332 0.657 4.401 O
5.769 2.058 1.053 O
3.140 -0.657 1.881 O
4.808 0.657 3.159 O
2.179 -2.058 3.986 O
5.616 -0.657 0.639 O
7.336 0.050 2.548 O
8.144 -0.050 0.028 O
4.961 -2.058 3.573 O
```

---

For Na2Al2Si3O12, DFT lattice parameters and positions (GGA-PBE) gives the theoretical X-ray powder pattern in this record (Cu Kα, 1.54184 Å).
Kinematic intensities with the Lorentz-polarization factor, no thermal factor.

Largest 6 diffraction maxima, most intense first, 10 to 80 degrees two-theta:
- 14.91 deg, intensity 100
- 13.58 deg, intensity 77
- 31.19 deg, intensity 62
- 31.40 deg, intensity 57
- 20.30 deg, intensity 51
- 30.08 deg, intensity 49

Structure:
```
Na2Al2Si3O12
1.0
0.000 9.302 3.338
9.145 0.000 3.338
9.145 9.302 0.000
Na Al Si O
4 4 6 24
Cartesian
9.675 5.164 3.338 Na
13.187 9.815 5.007 Na
8.615 13.440 3.338 Na
5.102 8.789 5.007 Na
13.059 6.409 3.303 Al
8.486 7.544 4.972 Al
9.803 11.060 4.972 Al
5.231 12.195 3.303 Al
9.145 9.302 0.876 Si
10.917 8.603 3.333 Si
4.572 4.651 2.544 Si
7.372 10.001 3.333 Si
15.489 14.652 5.002 Si
11.945 13.254 5.002 Si
11.910 5.271 2.626 O
9.463 1.311 3.297 O
7.897 6.090 1.552 O
4.891 3.340 1.628 O
10.455 8.991 1.816 O
12.477 8.082 3.252 O
14.965 10.741 3.221 O
4.254 5.962 1.628 O
1.247 3.212 1.552 O
7.834 9.613 1.816 O
9.929 7.454 3.950 O
5.883 4.962 3.484 O
12.407 13.642 3.484 O
10.952 9.922 4.295 O
7.905 5.871 4.921 O
7.338 8.682 4.295 O
3.325 7.863 3.221 O
8.360 11.150 3.950 O
5.813 10.522 3.252 O
6.379 13.333 2.626 O
12.932 12.105 5.618 O
10.385 12.733 4.921 O
14.502 15.801 5.618 O
8.827 17.293 3.297 O
```

---

What is the formula in the second record? Na2Al2Si3O12